# 1
Starting from DFT lattice parameters and positions (PBE), the XRD peak list of CsMg14Ti was simulated for a wavelength of 1.5418 Å.
Kinematic intensities with the Lorentz-polarization factor, no thermal factor.

Most intense lines, 5 to 70 degrees two-theta, by intensity:
2.504 Å, 35.86 deg, intensity 100; 2.492 Å, 36.04 deg, intensity 49; 10.604 Å, 8.34 deg, intensity 45; 2.651 Å, 33.81 deg, intensity 38; 4.994 Å, 17.76 deg, intensity 37; 2.841 Å, 31.49 deg, intensity 28; 3.871 Å, 22.98 deg, intensity 25; 5.661 Å, 15.65 deg, intensity 22; 1.501 Å, 61.82 deg, intensity 19; 1.391 Å, 67.33 deg, intensity 18; 1.938 Å, 46.88 deg, intensity 18; 1.633 Å, 56.32 deg, intensity 17

Structural model:
a = 10.604 Å, b = 6.534 Å, c = 6.534 Å
α = 60.40°, β = 90.00°, γ = 90.00°
Element x y z (fractional)
Cs 0.000 0.000 0.000
Mg 0.000 0.497 0.998
Mg 0.000 0.998 0.497
Mg 0.243 0.659 0.659
Mg 0.262 0.175 0.648
Mg 0.262 0.648 0.175
Mg 0.269 0.170 0.170
Mg 0.500 0.497 0.497
Mg 0.500 0.499 0.993
Mg 0.500 0.993 0.499
Mg 0.500 0.995 0.995
Mg 0.731 0.170 0.170
Mg 0.738 0.175 0.648
Mg 0.738 0.648 0.175
Mg 0.757 0.659 0.659
Ti 0.000 0.486 0.486



# 2
Starting from DFT lattice parameters and positions (PBE), the XRD peak list of CsMg14Ti was simulated for a wavelength of 1.5418 Å.
Kinematic intensities with the Lorentz-polarization factor, no thermal factor.

Most intense lines, 5 to 70 degrees two-theta, by intensity:
2.509 Å, 35.78 deg, intensity 100; 2.838 Å, 31.53 deg, intensity 28; 5.676 Å, 15.61 deg, intensity 27; 3.902 Å, 22.79 deg, intensity 25; 2.687 Å, 33.35 deg, intensity 25; 1.399 Å, 66.89 deg, intensity 18; 1.951 Å, 46.55 deg, intensity 18; 1.638 Å, 56.14 deg, intensity 17; 1.515 Å, 61.19 deg, intensity 17; 5.019 Å, 17.67 deg, intensity 16; 1.372 Å, 68.38 deg, intensity 14; 2.798 Å, 31.99 deg, intensity 10

Structural model:
a = 6.554 Å, b = 6.554 Å, c = 10.747 Å
α = 90.00°, β = 90.00°, γ = 120.00°
Element x y z (fractional)
Cs 0.000 0.000 0.000
Mg 0.009 0.504 0.000
Mg 0.169 0.339 0.273
Mg 0.169 0.339 0.727
Mg 0.169 0.831 0.273
Mg 0.169 0.831 0.727
Mg 0.496 0.504 0.000
Mg 0.496 0.991 0.000
Mg 0.504 0.008 0.500
Mg 0.504 0.496 0.500
Mg 0.661 0.831 0.273
Mg 0.661 0.831 0.727
Mg 0.667 0.333 0.244
Mg 0.667 0.333 0.756
Mg 0.992 0.496 0.500
Ti 0.000 0.000 0.500



# 3
Starting from DFT lattice parameters and positions (PBE), the XRD peak list of CsMg6Ti was simulated for a wavelength of 1.5418 Å.
Kinematic intensities with the Lorentz-polarization factor, no thermal factor.

Most intense lines, 5 to 70 degrees two-theta, by intensity:
2.603 Å, 34.45 deg, intensity 100; 5.659 Å, 15.66 deg, intensity 61; 2.830 Å, 31.62 deg, intensity 59; 1.586 Å, 58.15 deg, intensity 31; 4.002 Å, 22.21 deg, intensity 30; 3.579 Å, 24.88 deg, intensity 25; 3.151 Å, 28.32 deg, intensity 20; 2.036 Å, 44.50 deg, intensity 20; 2.932 Å, 30.49 deg, intensity 19; 8.003 Å, 11.06 deg, intensity 18; 2.001 Å, 45.32 deg, intensity 17; 1.863 Å, 48.88 deg, intensity 16

Structural model:
a = 8.003 Å, b = 8.003 Å, c = 3.428 Å
α = 90.00°, β = 90.00°, γ = 90.00°
Element x y z (fractional)
Cs 0.000 0.000 0.000
Mg 0.000 0.500 0.000
Mg 0.292 0.292 0.500
Mg 0.292 0.708 0.500
Mg 0.500 0.000 0.000
Mg 0.708 0.292 0.500
Mg 0.708 0.708 0.500
Ti 0.500 0.500 0.000



# 4
Starting from DFT lattice parameters and positions (PBE), the XRD peak list of CsMg6V was simulated for a wavelength of 1.5418 Å.
Kinematic intensities with the Lorentz-polarization factor, no thermal factor.

Most intense lines, 5 to 70 degrees two-theta, by intensity:
2.693 Å, 33.27 deg, intensity 100; 2.651 Å, 33.81 deg, intensity 26; 4.044 Å, 21.98 deg, intensity 25; 5.303 Å, 16.72 deg, intensity 22; 5.192 Å, 17.08 deg, intensity 21; 2.596 Å, 34.55 deg, intensity 20; 3.710 Å, 23.99 deg, intensity 19; 3.127 Å, 28.55 deg, intensity 17; 1.539 Å, 60.13 deg, intensity 17; 1.855 Å, 49.12 deg, intensity 15; 6.253 Å, 14.16 deg, intensity 14; 3.916 Å, 22.71 deg, intensity 12

Structural model:
a = 5.303 Å, b = 6.503 Å, c = 6.503 Å
α = 74.05°, β = 90.00°, γ = 90.00°
Element x y z (fractional)
Cs 0.000 0.000 0.000
Mg 0.000 0.001 0.494
Mg 0.000 0.494 0.001
Mg 0.500 0.292 0.292
Mg 0.500 0.334 0.743
Mg 0.500 0.743 0.334
Mg 0.500 0.778 0.778
V 0.000 0.502 0.502



# 5
Starting from DFT lattice parameters and positions (PBE), the XRD peak list of CsMg6V was simulated for a wavelength of 1.5418 Å.
Kinematic intensities with the Lorentz-polarization factor, no thermal factor.

Most intense lines, 5 to 70 degrees two-theta, by intensity:
2.578 Å, 34.81 deg, intensity 100; 5.889 Å, 15.04 deg, intensity 48; 3.953 Å, 22.49 deg, intensity 44; 2.601 Å, 34.49 deg, intensity 40; 2.666 Å, 33.61 deg, intensity 35; 3.973 Å, 22.37 deg, intensity 33; 2.883 Å, 31.02 deg, intensity 22; 2.944 Å, 30.36 deg, intensity 22; 1.713 Å, 53.48 deg, intensity 20; 2.979 Å, 29.99 deg, intensity 19; 1.522 Å, 60.88 deg, intensity 19; 1.441 Å, 64.67 deg, intensity 16

Structural model:
a = 5.332 Å, b = 6.854 Å, c = 6.854 Å
α = 59.23°, β = 90.00°, γ = 90.00°
Element x y z (fractional)
Cs 0.000 0.000 0.000
Mg 0.000 0.016 0.483
Mg 0.000 0.483 0.016
Mg 0.000 0.511 0.511
Mg 0.500 0.193 0.633
Mg 0.500 0.633 0.193
Mg 0.500 0.672 0.672
V 0.500 0.199 0.199



# 6
Starting from DFT lattice parameters and positions (PBE), the XRD peak list of CsYMg6 was simulated for a wavelength of 1.5418 Å.
Kinematic intensities with the Lorentz-polarization factor, no thermal factor.

Most intense lines, 5 to 70 degrees two-theta, by intensity:
2.680 Å, 33.44 deg, intensity 100; 6.152 Å, 14.40 deg, intensity 56; 4.083 Å, 21.77 deg, intensity 33; 4.020 Å, 22.11 deg, intensity 33; 2.729 Å, 32.82 deg, intensity 31; 2.929 Å, 30.52 deg, intensity 29; 2.610 Å, 34.36 deg, intensity 25; 2.972 Å, 30.07 deg, intensity 21; 1.566 Å, 58.98 deg, intensity 19; 3.595 Å, 24.76 deg, intensity 14; 2.010 Å, 45.10 deg, intensity 13; 1.464 Å, 63.53 deg, intensity 13

Structural model:
a = 5.458 Å, b = 6.947 Å, c = 6.947 Å
α = 62.33°, β = 90.00°, γ = 90.00°
Element x y z (fractional)
Cs 0.000 0.000 0.000
Y 0.500 0.200 0.200
Mg 0.000 0.029 0.499
Mg 0.000 0.499 0.029
Mg 0.000 0.522 0.522
Mg 0.500 0.222 0.657
Mg 0.500 0.657 0.222
Mg 0.500 0.696 0.696